[1]
Starting from DFT lattice parameters and positions (GGA-PBE), the powder XRD pattern of Nd6Ga3Cu was simulated for a wavelength of 1.5418 Å.
Kinematic intensities with the Lorentz-polarization factor, no thermal factor.

Top 8 peaks for 10 to 80 degrees two-theta, in order of rising 2θ:
Position (°2θ)  I/Imax
30.3  40
30.4  80
34.2  100
34.5  49
36.7  41
46.5  24
59.3  22
61.6  18

Structural model:
```
Nd6Ga3Cu
1.0
9.1021 0.0000 0.0000
0.0000 11.6304 0.0000
0.0000 0.0000 5.2033
Nd Ga Cu
12 6 2
direct
0.0005 0.2460 0.0000
0.1676 0.5761 0.5000
0.1679 0.9193 0.5000
0.3324 0.0761 0.0000
0.3321 0.4193 0.0000
0.4995 0.7460 0.5000
0.5005 0.2540 0.5000
0.6679 0.5807 0.0000
0.6676 0.9239 0.0000
0.8321 0.0807 0.5000
0.8324 0.4239 0.5000
0.9995 0.7540 0.0000
0.0000 0.5000 0.0000
0.1689 0.2561 0.5000
0.3311 0.7561 0.0000
0.5000 0.0000 0.5000
0.6689 0.2439 0.0000
0.8311 0.7439 0.5000
0.0000 0.0000 0.0000
0.5000 0.5000 0.5000
```


[2]
Starting from DFT lattice parameters and positions (GGA-PBE), the powder XRD pattern of Nd2GaCu5 was simulated for a wavelength of 1.5418 Å.
Kinematic intensities with the Lorentz-polarization factor, no thermal factor.

Top 8 peaks for 10 to 80 degrees two-theta, in order of rising 2θ:
Position (°2θ)  I/Imax
29.7  31
33.9  100
35.7  69
37.5  52
40.3  39
40.8  20
42.4  54
59.9  23

Structural model:
```
Nd2GaCu5
1.0
2.1307 -7.7913 0.0000
2.1307 7.7913 0.0000
0.0000 0.0000 8.8518
Nd Ga Cu
4 2 10
direct
0.0000 0.0000 0.0000
0.0000 0.0000 0.5000
0.2103 0.7897 0.7500
0.7897 0.2103 0.2500
0.4392 0.5608 0.2500
0.5608 0.4392 0.7500
0.1776 0.8224 0.1121
0.1776 0.8224 0.3879
0.3447 0.6553 0.0198
0.3447 0.6553 0.4802
0.4016 0.5984 0.7500
0.5984 0.4016 0.2500
0.6553 0.3447 0.5198
0.6553 0.3447 0.9802
0.8224 0.1776 0.6121
0.8224 0.1776 0.8879
```


[3]
Starting from DFT lattice parameters and positions (GGA-PBE), the powder XRD pattern of Nd2Ga2Cu15 was simulated for a wavelength of 1.5418 Å.
Kinematic intensities with the Lorentz-polarization factor, no thermal factor.

Top 8 peaks for 10 to 80 degrees two-theta, in order of rising 2θ:
Position (°2θ)  I/Imax
29.5  23
35.8  43
37.1  34
41.6  64
41.9  100
42.7  52
47.0  36
61.1  25

Structural model:
```
Nd2Ga2Cu15
1.0
4.3457 2.5090 4.2306
-4.3457 2.5090 4.2306
0.0000 -5.0180 4.2306
Nd Ga Cu
2 2 15
direct
0.1516 0.1516 0.1516
0.8484 0.8484 0.8484
0.3974 0.3974 0.3974
0.6026 0.6026 0.6026
0.0000 0.5000 0.5000
0.1540 0.1540 0.6529
0.1540 0.6529 0.1540
0.2015 0.5000 0.7985
0.2015 0.7985 0.5000
0.3471 0.8460 0.8460
0.5000 0.0000 0.5000
0.5000 0.2015 0.7985
0.5000 0.5000 0.0000
0.5000 0.7985 0.2015
0.6529 0.1540 0.1540
0.7985 0.2015 0.5000
0.7985 0.5000 0.2015
0.8460 0.3471 0.8460
0.8460 0.8460 0.3471
```